[1]
Computed PXRD pattern
Compound: Cs2La10Ru2I17
Radiation: Cu Kα X-rays
Structure: a PBE-relaxed structure
No peak broadening, texture or thermal motion is included.

Peak list (10 most intense, 10° ≤ 2θ ≤ 90°, in order of rising 2θ)
2θ/deg  I/Imax  (hkl)
23.73  181  1 3 2
24.54  168  3 3 -1
27.75  1000  4 0 1
28.35  520  2 0 -3
39.02  172  2 0 4
39.65  352  4 6 1
40.11  327  2 6 -3
41.07  161  6 0 -2
48.58  169  2 6 4
50.31  169  6 6 -2

Crystal structure
Cell: 14.071 19.264 10.140 Å, 90.00 95.28 90.00°
Space group C2/m (No. 12)
Asymmetric unit:
Cs1 0.000 0.175 0.000 x4
La1 0.065 0.500 0.678 x4
La2 0.142 0.350 0.428 x8
La3 0.169 0.000 0.443 x4
La4 0.206 0.500 0.184 x4
Ru1 0.143 0.500 0.428 x4
I1 0.000 0.500 0.000 x2
I2 0.063 0.000 0.719 x4
I3 0.073 0.326 0.727 x8
I4 0.142 0.169 0.421 x8
I5 0.211 0.000 0.131 x4
I6 0.217 0.333 0.139 x8



[2]
Computed PXRD pattern
Compound: Cs3LiI4
Radiation: Cu Kα X-rays
Structure: a PBE-relaxed structure
No peak broadening, texture or thermal motion is included.

Peak list (10 most intense, 10° ≤ 2θ ≤ 90°, in order of rising 2θ)
2θ/deg  I/Imax  (hkl)
22.69  254  0 1 4
23.35  228  1 1 2
23.46  245  1 1 -3
24.50  474  0 2 3
26.74  1000  1 2 1
28.82  250  1 0 4
28.99  222  1 0 -5
34.43  259  2 0 -1
38.44  199  0 4 0
52.55  152  2 4 -1

Crystal structure
Cell: 5.209 9.369 17.441 Å, 90.00 98.24 90.00°
Space group P2_1/m (No. 11)
Asymmetric unit:
Cs1 0.000 0.000 0.000 x2
Cs2 0.120 0.250 0.261 x2
Cs3 0.213 0.750 0.455 x2
Li1 0.378 0.250 0.740 x2
I1 0.088 0.750 0.188 x2
I2 0.332 0.006 0.639 x4
I3 0.457 0.750 0.907 x2



[3]
Computed PXRD pattern
Compound: Cs2Li3I5
Radiation: Cu Kα X-rays
Structure: a PBE-relaxed structure
No peak broadening, texture or thermal motion is included.

Peak list (10 most intense, 10° ≤ 2θ ≤ 90°, in order of rising 2θ)
2θ/deg  I/Imax  (hkl)
24.52  1000  3 1 -1
24.64  499  1 1 -2
24.95  569  2 0 2
25.63  620  3 1 0
26.50  489  3 1 -2
26.67  573  4 0 -3
28.06  581  1 1 2
37.89  373  0 2 0
44.76  408  3 1 -5
50.48  327  3 1 4

Crystal structure
Cell: 16.960 4.748 11.205 Å, 90.00 115.53 90.00°
Space group C2/m (No. 12)
Asymmetric unit:
Cs1 0.187 0.000 0.233 x4
Li1 0.000 0.000 0.500 x2
Li2 0.050 0.500 0.797 x4
I1 0.000 0.500 0.000 x2
I2 0.099 0.500 0.435 x4
I3 0.136 0.000 0.796 x4



[4]
Computed PXRD pattern
Compound: CsLi2I3
Radiation: Cu Kα X-rays
Structure: a PBE-relaxed structure
No peak broadening, texture or thermal motion is included.

Peak list (10 most intense, 10° ≤ 2θ ≤ 90°, in order of rising 2θ)
2θ/deg  I/Imax  (hkl)
25.20  1000  1 0 2
27.08  449  1 1 0
33.01  82  0 0 4
38.68  186  2 0 0
43.21  168  1 1 4
46.73  368  2 1 2
51.74  90  2 0 4
62.22  78  3 0 2
63.16  101  3 1 0
75.71  88  3 2 2

Crystal structure
Cell: 4.656 4.656 10.853 Å, 90.00 90.00 90.00°
Space group P-4m2 (No. 115)
Asymmetric unit:
Cs1 0.000 0.000 0.000 x1
Li1 0.000 0.500 0.639 x2
I1 0.000 0.000 0.500 x1
I2 0.500 0.500 0.212 x2



[5]
Computed PXRD pattern
Compound: Cs2Li3I5
Radiation: Cu Kα X-rays
Structure: a PBE-relaxed structure
No peak broadening, texture or thermal motion is included.

Peak list (10 most intense, 10° ≤ 2θ ≤ 90°, in order of rising 2θ)
2θ/deg  I/Imax  (hkl)
24.47  1000  1 2 1
24.75  503  1 1 -1
25.09  562  0 1 3
25.58  666  1 2 2
26.55  395  1 -1 1
26.79  710  0 2 -1
28.19  700  1 0 -2
31.19  335  1 0 3
32.14  328  0 3 2
37.86  374  2 1 1

Crystal structure
Cell: 4.753 8.836 10.937 Å, 67.25 77.46 74.41°
Space group P1 (No. 1)
Asymmetric unit:
Cs1 0.000 0.000 0.000 x1
Cs2 0.367 0.714 0.546 x1
Li1 0.194 0.355 0.271 x1
Li2 0.630 0.167 0.567 x1
Li3 0.732 0.550 0.979 x1
I1 0.043 0.332 0.577 x1
I2 0.320 0.382 0.973 x1
I3 0.583 0.619 0.211 x1
I4 0.684 0.858 0.773 x1
I5 0.784 0.098 0.335 x1



[6]
Computed PXRD pattern
Compound: Cs3Li2I5
Radiation: Cu Kα X-rays
Structure: a PBE-relaxed structure
No peak broadening, texture or thermal motion is included.

Peak list (10 most intense, 10° ≤ 2θ ≤ 90°, in order of rising 2θ)
2θ/deg  I/Imax  (hkl)
23.15  195  5 1 -1
23.26  399  8 0 0
24.86  160  5 1 1
25.67  1000  3 1 2
25.79  906  5 1 -2
29.19  218  10 0 0
29.46  354  2 0 -4
35.49  325  0 2 0
46.78  210  2 2 -4
58.05  185  3 3 2

Crystal structure
Cell: 31.124 5.058 12.128 Å, 90.00 100.68 90.00°
Space group C2/m (No. 12)
Asymmetric unit:
Cs1 0.062 0.000 0.156 x4
Cs2 0.070 0.000 0.656 x4
Cs3 0.247 0.500 0.742 x4
Li1 0.143 0.500 0.416 x4
Li2 0.146 0.500 0.965 x4
I1 0.054 0.500 0.407 x4
I2 0.055 0.500 0.893 x4
I3 0.160 0.500 0.199 x4
I4 0.177 0.000 0.507 x4
I5 0.179 0.000 0.905 x4